Starting from the PBE geometry in Alexandria, the powder diffractogram of AlCuI6 was computed for copper Kα.

Principal peaks in the range 2θ = 10–90°, in order of rising 2θ:
| 2theta | intensity |
| --- | --- |
| 13.34 | 627 |
| 22.26 | 316 |
| 23.90 | 1000 |
| 26.86 | 391 |
| 28.44 | 504 |
| 29.85 | 247 |
| 30.65 | 749 |
| 39.51 | 267 |
| 45.79 | 233 |
| 57.47 | 369 |

Structural model:
Cell: 6.6668 6.6668 7.4621 Å, 95.24 95.24 90.70°
Sites, in units of the cell vectors:
Al (0.0000, 0.0000, 0.0000)
Cu (0.0000, 0.0000, 0.5000)
I (0.1232, 0.7359, 0.7168)
I (0.2641, 0.8768, 0.2832)
I (0.2793, 0.2793, 0.9370)
I (0.7207, 0.7207, 0.0630)
I (0.7359, 0.1232, 0.7168)
I (0.8768, 0.2641, 0.2832)